This entry pairs a crystal structure of MgTe4MoW2S2 with its computed powder diffractogram. Radiation: CuKα. Structure: a cell relaxed with PBE.
No peak broadening, texture or thermal motion is included.

Cell and atoms:
```
10
Lattice="3.409 0.000 0.000 1.704 2.952 0.000 0.000 0.000 31.763" Properties=species:S:1:pos:R:3 pbc="T T T"
Mg 0.000 0.000 0.000
Te 0.096 0.085 6.572
Te 0.096 0.085 10.311
Te 0.096 0.085 21.257
Te 0.096 0.085 25.014
Mo 1.800 1.069 8.438
W 0.096 0.085 15.788
W 1.800 1.069 23.137
S 1.800 1.069 14.287
S 1.800 1.069 17.289
```

The 10 most intense peaks (10° ≤ 2θ ≤ 80°), sorted by position:
- 2θ 11.14, I 100, hkl 0 0 4
- 2θ 13.94, I 13, hkl 0 0 5
- 2θ 30.28, I 39, hkl 1 1 0
- 2θ 32.35, I 12, hkl 1 1 -4
- 2θ 34.79, I 50, hkl 1 0 -6
- 2θ 36.30, I 50, hkl 1 1 -7
- 2θ 39.80, I 17, hkl 0 1 9
- 2θ 41.77, I 21, hkl 1 0 -10
- 2θ 43.86, I 34, hkl 1 1 -11
- 2θ 53.80, I 27, hkl 1 -1 0